Entry 1:
Starting from a cell relaxed with GGA-PBE, the X-ray diffraction stick pattern of BaHfB2O6 was computed for Cu Kα (λ = 1.5418 Å).

Top 10 peaks for 5° ≤ 2θ ≤ 70°, by angle:
hkl 1 0 4, d 3.984, 2θ 22.31, I 100; hkl 0 1 8, d 3.107, 2θ 28.73, I 99; hkl 1 1 0, d 2.596, 2θ 34.56, I 40; hkl 0 2 4, d 2.175, 2θ 41.52, I 30; hkl 2 0 8, d 1.992, 2θ 45.53, I 16; hkl 1 0 16, d 1.940, 2θ 46.84, I 22; hkl 1 1 12, d 1.924, 2θ 47.24, I 41; hkl 2 1 4, d 1.667, 2θ 55.09, I 24; hkl 1 2 8, d 1.580, 2θ 58.40, I 21; hkl 0 2 16, d 1.554, 2θ 59.49, I 10

Structure:
```
data_BaHfB2O6
_chemical_formula_sum 'Ba6 Hf6 B12 O36'
_cell_length_a 5.1913
_cell_length_b 5.1913
_cell_length_c 34.3990
_cell_angle_alpha 90.00
_cell_angle_beta 90.00
_cell_angle_gamma 120.00
_space_group_name_H-M_alt 'R 3 c'
_space_group_IT_number 161
_space_group_name_Hall 'R 3 -2"c'
loop_
_atom_site_label
_atom_site_type_symbol
_atom_site_fract_x
_atom_site_fract_y
_atom_site_fract_z
_atom_site_occupancy
Ba1 Ba 0.0000 0.0000 0.0000 1
Hf1 Hf 0.0000 0.0000 0.2510 1
B1 B 0.0000 0.0000 0.1197 1
B2 B 0.0000 0.0000 0.3832 1
O1 O 0.0347 0.4549 0.0490 1
O2 O 0.1338 0.3651 0.2874 1
```



Entry 2:
Starting from a cell relaxed with GGA-PBE, the X-ray diffraction stick pattern of BaB2Ir2 was computed for Cu Kα (λ = 1.5418 Å).

Top 10 peaks for 5° ≤ 2θ ≤ 70°, by angle:
hkl 0 0 2, d 5.769, 2θ 15.36, I 52; hkl 1 0 1, d 3.748, 2θ 23.74, I 18; hkl 0 0 4, d 2.885, 2θ 31.00, I 37; hkl 1 1 0, d 2.802, 2θ 31.94, I 14; hkl 1 0 3, d 2.760, 2θ 32.44, I 11; hkl 1 1 2, d 2.520, 2θ 35.62, I 100; hkl 1 1 4, d 2.010, 2θ 45.11, I 13; hkl 2 0 0, d 1.981, 2θ 45.80, I 27; hkl 2 0 4, d 1.633, 2θ 56.33, I 28; hkl 1 1 6, d 1.586, 2θ 58.18, I 27

Structure:
```
data_BaB2Ir2
_chemical_formula_sum 'Ba2 B4 Ir4'
_cell_length_a 3.962
_cell_length_b 3.962
_cell_length_c 11.539
_cell_angle_alpha 90.00
_cell_angle_beta 90.00
_cell_angle_gamma 90.00
_space_group_name_H-M_alt 'I 4/m m m'
_space_group_IT_number 139
_space_group_name_Hall '-I 4 2'
loop_
_atom_site_label
_atom_site_type_symbol
_atom_site_fract_x
_atom_site_fract_y
_atom_site_fract_z
_atom_site_occupancy
Ba1 Ba 0.000 0.000 0.000 1
B1 B 0.000 0.000 0.318 1
Ir1 Ir 0.000 0.500 0.250 1
```